The following is a computed XRD peak list of K3MgV2O8. It was derived from a structure optimized by DFT (GGA+U), using CuKα.
Lines closer than 0.1° are merged.

Structural model:
```
K3MgV2O8
1.0
5.810 0.000 0.000
-2.905 5.032 0.000
0.000 0.000 7.570
K Mg V O
3 1 2 8
direct
0.000 0.000 0.000
0.333 0.667 0.682
0.667 0.333 0.318
0.000 0.000 0.500
0.333 0.667 0.253
0.667 0.333 0.747
0.170 0.340 0.334
0.170 0.830 0.334
0.333 0.667 0.028
0.340 0.170 0.666
0.660 0.830 0.334
0.667 0.333 0.972
0.830 0.170 0.666
0.830 0.660 0.666
```

Principal peaks in the range 2θ from 15° to 90°, by angle:
| (hkl) | 2theta | d/Å | I/Imax |
| --- | --- | --- | --- |
| 0 1 1 | 21.2 | 4.191 | 270 |
| 0 1 2 | 29.5 | 3.025 | 562 |
| 1 1 0 | 30.8 | 2.905 | 1000 |
| 0 0 3 | 35.6 | 2.523 | 184 |
| 2 0 2 | 43.2 | 2.095 | 472 |
| 1 2 2 | 54.0 | 1.699 | 180 |
| 3 0 0 | 54.7 | 1.677 | 167 |
| 2 2 0 | 64.1 | 1.453 | 206 |